1.
For Ba2Tl3Ga, DFT lattice parameters and positions (GGA-PBE) gives the computed XRD peak list in this record (CuKα).
Kinematic intensities with the Lorentz-polarization factor, no thermal factor.

Structure:
Cell lengths 6.6622, 6.6622, 8.5420 Å; angles 129.50, 129.50, 47.21 degrees
Positions (direct):
Ba (0.0000, 0.0000, 0.0000)
Ba (0.0914, 0.0914, 0.5932)
Tl (0.3826, 0.3826, 0.5574)
Tl (0.6931, 0.6931, 0.3960)
Tl (0.7176, 0.7176, 0.0374)
Ga (0.3786, 0.3786, 0.1952)

Top 6 peaks for 2θ from 10° to 80°, in order of rising 2θ:
- 28.25 deg, I 59
- 28.69 deg, I 100
- 33.00 deg, I 34
- 33.60 deg, I 68
- 34.94 deg, I 97
- 60.90 deg, I 36


2.
For Ba2Tl2Ga, DFT lattice parameters and positions (GGA-PBE) gives the computed XRD peak list in this record (CuKα).
Kinematic intensities with the Lorentz-polarization factor, no thermal factor.

Structure:
Cell lengths 7.0123, 7.0123, 13.0017 Å; angles 112.90, 112.90, 39.94 degrees
Positions (direct):
Ba (0.0985, 0.0985, 0.3950)
Ba (0.3000, 0.3000, 0.8601)
Ba (0.7000, 0.7000, 0.1399)
Ba (0.9015, 0.9015, 0.6050)
Tl (0.0526, 0.0526, 0.9151)
Tl (0.3737, 0.3737, 0.3800)
Tl (0.6263, 0.6263, 0.6200)
Tl (0.9474, 0.9474, 0.0849)
Ga (0.4391, 0.4391, 0.1934)
Ga (0.5609, 0.5609, 0.8066)

Top 6 peaks for 2θ from 10° to 80°, in order of rising 2θ:
- 26.86 deg, I 100
- 27.20 deg, I 33
- 29.05 deg, I 40
- 30.21 deg, I 35
- 34.79 deg, I 59
- 37.56 deg, I 38


3.
For Ba5Tl2Ga, DFT lattice parameters and positions (GGA-PBE) gives the computed XRD peak list in this record (CuKα).
Kinematic intensities with the Lorentz-polarization factor, no thermal factor.

Structure:
Cell lengths 7.6949, 14.6660, 6.0344 Å; angles 90.00, 90.00, 90.00 degrees
Positions (direct):
Ba (0.0000, 0.0000, 0.0000)
Ba (0.1552, 0.2883, 0.0000)
Ba (0.1585, 0.6040, 0.5000)
Ba (0.3415, 0.1040, 0.5000)
Ba (0.3448, 0.7883, 0.0000)
Ba (0.5000, 0.5000, 0.0000)
Ba (0.6552, 0.2117, 0.0000)
Ba (0.6585, 0.8960, 0.5000)
Ba (0.8415, 0.3960, 0.5000)
Ba (0.8448, 0.7117, 0.0000)
Tl (0.1294, 0.8678, 0.5000)
Tl (0.3706, 0.3678, 0.5000)
Tl (0.6294, 0.6322, 0.5000)
Tl (0.8706, 0.1322, 0.5000)
Ga (0.0000, 0.5000, 0.0000)
Ga (0.5000, 0.0000, 0.0000)

Top 6 peaks for 2θ from 10° to 80°, in order of rising 2θ:
- 26.16 deg, I 35
- 28.17 deg, I 98
- 28.49 deg, I 99
- 29.58 deg, I 100
- 42.32 deg, I 30
- 51.65 deg, I 19


4.
For Ba5TlGa2, DFT lattice parameters and positions (GGA-PBE) gives the computed XRD peak list in this record (CuKα).
Kinematic intensities with the Lorentz-polarization factor, no thermal factor.

Structure:
Cell lengths 10.8106, 10.8106, 10.8106 Å; angles 132.01, 132.01, 70.21 degrees
Positions (direct):
Ba (0.0000, 0.0000, 0.0000)
Ba (0.0376, 0.5376, 0.8597)
Ba (0.1779, 0.0376, 0.5000)
Ba (0.3221, 0.8221, 0.8597)
Ba (0.4624, 0.3221, 0.5000)
Ba (0.5000, 0.5000, 0.0000)
Ba (0.5376, 0.6779, 0.5000)
Ba (0.6779, 0.1779, 0.1403)
Ba (0.8221, 0.9624, 0.5000)
Ba (0.9624, 0.4624, 0.1403)
Tl (0.2500, 0.2500, 0.0000)
Tl (0.7500, 0.7500, 0.0000)
Ga (0.1023, 0.3977, 0.5000)
Ga (0.3977, 0.8977, 0.2955)
Ga (0.6023, 0.1023, 0.7045)
Ga (0.8977, 0.6023, 0.5000)

Top 6 peaks for 2θ from 10° to 80°, in order of rising 2θ:
- 24.71 deg, I 25
- 27.26 deg, I 64
- 28.65 deg, I 100
- 32.20 deg, I 42
- 48.52 deg, I 22
- 57.36 deg, I 17


5.
For Ba2VGa4, DFT lattice parameters and positions (GGA-PBE) gives the computed XRD peak list in this record (CuKα).
Kinematic intensities with the Lorentz-polarization factor, no thermal factor.

Structure:
Cell lengths 9.2201, 9.2201, 9.2201 Å; angles 148.86, 148.86, 44.62 degrees
Positions (direct):
Ba (0.1462, 0.1462, 0.0000)
Ba (0.8538, 0.8538, 0.0000)
V (0.5000, 0.5000, 0.0000)
Ga (0.0000, 0.5000, 0.5000)
Ga (0.3599, 0.3599, 0.0000)
Ga (0.5000, 0.0000, 0.5000)
Ga (0.6401, 0.6401, 0.0000)

Top 6 peaks for 2θ from 10° to 80°, in order of rising 2θ:
- 23.83 deg, I 30
- 25.45 deg, I 46
- 33.11 deg, I 100
- 36.29 deg, I 68
- 48.78 deg, I 33
- 63.28 deg, I 30


6.
For Ba3YGa, DFT lattice parameters and positions (GGA-PBE) gives the computed XRD peak list in this record (CuKα).
Kinematic intensities with the Lorentz-polarization factor, no thermal factor.

Structure:
Cell lengths 6.4289, 6.4289, 6.4289 Å; angles 90.00, 90.00, 90.00 degrees
Positions (direct):
Ba (0.0000, 0.0000, 0.5000)
Ba (0.0000, 0.5000, 0.0000)
Ba (0.5000, 0.0000, 0.0000)
Y (0.5000, 0.5000, 0.5000)
Ga (0.0000, 0.0000, 0.0000)

Top 6 peaks for 2θ from 10° to 80°, in order of rising 2θ:
- 23.98 deg, I 100
- 27.75 deg, I 96
- 39.65 deg, I 73
- 46.87 deg, I 48
- 49.09 deg, I 26
- 64.86 deg, I 34


7.
For Ba2ZnGa4, DFT lattice parameters and positions (GGA-PBE) gives the computed XRD peak list in this record (CuKα).
Kinematic intensities with the Lorentz-polarization factor, no thermal factor.

Structure:
Cell lengths 6.7824, 6.8834, 8.9681 Å; angles 90.00, 109.77, 90.00 degrees
Positions (direct):
Ba (0.1764, 0.2500, 0.4311)
Ba (0.1845, 0.2500, 0.9053)
Ba (0.8155, 0.7500, 0.0947)
Ba (0.8236, 0.7500, 0.5689)
Zn (0.3779, 0.7500, 0.7272)
Zn (0.6221, 0.2500, 0.2728)
Ga (0.2408, 0.7500, 0.9589)
Ga (0.2581, 0.7500, 0.4254)
Ga (0.3959, 0.5558, 0.2279)
Ga (0.3959, 0.9442, 0.2279)
Ga (0.6041, 0.0558, 0.7721)
Ga (0.6041, 0.4442, 0.7721)
Ga (0.7419, 0.2500, 0.5746)
Ga (0.7592, 0.2500, 0.0411)

Top 6 peaks for 2θ from 10° to 80°, in order of rising 2θ:
- 24.70 deg, I 67
- 25.89 deg, I 80
- 28.81 deg, I 93
- 29.05 deg, I 100
- 30.89 deg, I 76
- 33.57 deg, I 93


8.
For Ba3Zn8Ga3, DFT lattice parameters and positions (GGA-PBE) gives the computed XRD peak list in this record (CuKα).
Kinematic intensities with the Lorentz-polarization factor, no thermal factor.

Structure:
Cell lengths 8.8345, 8.8345, 11.4158 Å; angles 129.36, 129.36, 28.97 degrees
Positions (direct):
Ba (0.0000, 0.0000, 0.0000)
Ba (0.2968, 0.2968, 0.2964)
Ba (0.7032, 0.7032, 0.7036)
Zn (0.1071, 0.1071, 0.3982)
Zn (0.1144, 0.1144, 0.8269)
Zn (0.3133, 0.3133, 0.6142)
Zn (0.4991, 0.4991, 0.2871)
Zn (0.5009, 0.5009, 0.7129)
Zn (0.6867, 0.6867, 0.3858)
Zn (0.8856, 0.8856, 0.1731)
Zn (0.8929, 0.8929, 0.6018)
Ga (0.0000, 0.0000, 0.5000)
Ga (0.3211, 0.3211, 0.9982)
Ga (0.6789, 0.6789, 0.0018)

Top 6 peaks for 2θ from 10° to 80°, in order of rising 2θ:
- 28.94 deg, I 33
- 31.03 deg, I 100
- 31.35 deg, I 42
- 31.61 deg, I 38
- 40.42 deg, I 42
- 40.84 deg, I 57


9.
For Ba2Zn3Ga5, DFT lattice parameters and positions (GGA-PBE) gives the computed XRD peak list in this record (CuKα).
Kinematic intensities with the Lorentz-polarization factor, no thermal factor.

Structure:
Cell lengths 4.5385, 4.5385, 11.0759 Å; angles 90.00, 90.00, 90.00 degrees
Positions (direct):
Ba (0.0000, 0.5000, 0.2503)
Ba (0.5000, 0.0000, 0.7497)
Zn (0.0000, 0.0000, 0.0000)
Zn (0.0000, 0.5000, 0.8753)
Zn (0.5000, 0.0000, 0.1247)
Ga (0.0000, 0.0000, 0.5000)
Ga (0.0000, 0.5000, 0.6340)
Ga (0.5000, 0.0000, 0.3660)
Ga (0.5000, 0.5000, 0.0000)
Ga (0.5000, 0.5000, 0.5000)

Top 6 peaks for 2θ from 10° to 80°, in order of rising 2θ:
- 31.23 deg, I 64
- 32.24 deg, I 100
- 39.72 deg, I 58
- 45.57 deg, I 26
- 51.37 deg, I 31
- 67.41 deg, I 24


10.
For Ba2Zn7Ga, DFT lattice parameters and positions (GGA-PBE) gives the computed XRD peak list in this record (CuKα).
Kinematic intensities with the Lorentz-polarization factor, no thermal factor.

Structure:
Cell lengths 4.5500, 4.5500, 10.9540 Å; angles 90.00, 90.00, 90.00 degrees
Positions (direct):
Ba (0.0000, 0.5000, 0.2490)
Ba (0.5000, 0.0000, 0.7510)
Zn (0.0000, 0.0000, 0.0000)
Zn (0.0000, 0.5000, 0.6257)
Zn (0.0000, 0.5000, 0.8775)
Zn (0.5000, 0.0000, 0.1225)
Zn (0.5000, 0.0000, 0.3743)
Zn (0.5000, 0.5000, 0.0000)
Zn (0.5000, 0.5000, 0.5000)
Ga (0.0000, 0.0000, 0.5000)

Top 6 peaks for 2θ from 10° to 80°, in order of rising 2θ:
- 31.41 deg, I 79
- 32.27 deg, I 100
- 39.62 deg, I 66
- 45.98 deg, I 26
- 51.41 deg, I 38
- 67.28 deg, I 23


11.
For BaZn6Ga2, DFT lattice parameters and positions (GGA-PBE) gives the computed XRD peak list in this record (CuKα).
Kinematic intensities with the Lorentz-polarization factor, no thermal factor.

Structure:
Cell lengths 4.2845, 4.2845, 9.4274 Å; angles 90.00, 90.00, 90.00 degrees
Positions (direct):
Ba (0.0000, 0.0000, 0.0000)
Zn (0.0000, 0.0000, 0.5000)
Zn (0.0000, 0.5000, 0.3173)
Zn (0.0000, 0.5000, 0.6827)
Zn (0.5000, 0.0000, 0.3173)
Zn (0.5000, 0.0000, 0.6827)
Zn (0.5000, 0.5000, 0.5000)
Ga (0.5000, 0.5000, 0.1580)
Ga (0.5000, 0.5000, 0.8420)

Top 6 peaks for 2θ from 10° to 80°, in order of rising 2θ:
- 28.15 deg, I 40
- 31.00 deg, I 30
- 35.21 deg, I 100
- 35.42 deg, I 46
- 41.40 deg, I 71
- 42.18 deg, I 91


12.
For BaZn9Ga4, DFT lattice parameters and positions (GGA-PBE) gives the computed XRD peak list in this record (CuKα).
Kinematic intensities with the Lorentz-polarization factor, no thermal factor.

Structure:
Cell lengths 8.9315, 8.9315, 8.8924 Å; angles 119.10, 119.10, 91.76 degrees
Positions (direct):
Ba (0.2497, 0.7503, 0.0000)
Ba (0.7503, 0.2497, 0.0000)
Zn (0.0000, 0.0000, 0.5000)
Zn (0.0469, 0.2990, 0.5012)
Zn (0.0550, 0.0550, 0.8468)
Zn (0.2039, 0.5511, 0.5012)
Zn (0.2062, 0.4433, 0.1491)
Zn (0.2929, 0.2929, 0.8495)
Zn (0.2990, 0.0469, 0.5012)
Zn (0.4433, 0.2062, 0.1491)
Zn (0.4489, 0.7961, 0.4988)
Zn (0.5000, 0.5000, 0.5000)
Zn (0.5511, 0.2039, 0.5012)
Zn (0.5567, 0.7938, 0.8509)
Zn (0.7010, 0.9531, 0.4988)
Zn (0.7071, 0.7071, 0.1505)
Zn (0.7938, 0.5567, 0.8509)
Zn (0.7961, 0.4489, 0.4988)
Zn (0.9450, 0.9450, 0.1532)
Zn (0.9531, 0.7010, 0.4988)
Ga (0.0556, 0.6932, 0.2481)
Ga (0.1962, 0.1962, 0.2511)
Ga (0.3068, 0.9444, 0.7519)
Ga (0.4448, 0.4448, 0.7478)
Ga (0.5552, 0.5552, 0.2522)
Ga (0.6932, 0.0556, 0.2481)
Ga (0.8038, 0.8038, 0.7489)
Ga (0.9444, 0.3068, 0.7519)

Top 6 peaks for 2θ from 10° to 80°, in order of rising 2θ:
- 34.49 deg, I 89
- 34.62 deg, I 100
- 35.04 deg, I 86
- 41.99 deg, I 96
- 42.27 deg, I 65
- 42.64 deg, I 87